1.
Computed PXRD pattern of PmNp4P5 for a wavelength of 1.5418 Å, from DFT lattice parameters and positions (GGA-PBE).

Main lines, in order of rising 2θ (15 to 90 degrees two-theta):
Position (°2θ), I_rel, (hkl)
27.34, 100, 1 1 0
31.67, 94, 0 2 0
45.40, 70, 2 0 0
53.81, 50, 2 1 5
56.42, 25, 2 2 0
66.16, 11, 0 4 0
72.98, 17, 3 1 0
73.05, 3, 0 1 15
75.21, 32, 3 0 5
83.90, 25, 2 4 0

Unit cell a=3.9974 b=5.6509 c=19.9602 alpha=90.00 beta=90.00 gamma=90.00
Space group Immm (No. 71)
Unique sites:
Pm  0.0000  0.0000  0.0000 [2 per cell]
Np  0.0000  0.0000  0.2022 [4 per cell]
Np  0.0000  0.0000  0.4004 [4 per cell]
P  0.0000  0.5000  0.0000 [2 per cell]
P  0.0000  0.5000  0.1985 [4 per cell]
P  0.0000  0.5000  0.3944 [4 per cell]



2.
Computed PXRD pattern of V3GeB for a wavelength of 1.5418 Å, from DFT lattice parameters and positions (GGA-PBE).

Main lines, in order of rising 2θ (15 to 90 degrees two-theta):
Position (°2θ), I_rel, (hkl)
32.11, 4, 1 1 0
37.24, 21, 2 0 0
39.01, 27, 0 0 2
42.24, 100, 2 0 1
54.02, 4, 2 1 1
55.03, 16, 2 0 2
67.15, 15, 2 2 0
72.87, 18, 2 0 3
80.48, 15, 2 2 2
82.61, 11, 4 0 1

Unit cell a=5.5758 b=5.5758 c=4.6184 alpha=90.00 beta=90.00 gamma=120.00
Space group P6_3/mmc (No. 194)
Unique sites:
V  0.1790  0.3580  0.2500 [6 per cell]
Ge  0.3333  0.6667  0.7500 [2 per cell]
B  0.0000  0.0000  0.0000 [2 per cell]



3.
Computed PXRD pattern of Zr2TlHg for a wavelength of 1.5418 Å, from DFT lattice parameters and positions (GGA-PBE).

Main lines, in order of rising 2θ (15 to 90 degrees two-theta):
Position (°2θ), I_rel, (hkl)
20.59, 23, 0 1 0
34.78, 100, 0 1 2
34.92, 99, 1 1 0
39.62, 35, 1 0 -2
39.82, 35, 1 0 2
41.90, 30, 0 2 0
59.02, 22, 1 2 -2
59.17, 22, 1 2 2
68.96, 27, 2 1 -2
71.98, 24, 1 3 0

Unit cell a=3.1995 b=4.3127 c=6.4383 alpha=90.00 beta=90.28 gamma=90.00
Space group P2/m (No. 10)
Unique sites:
Zr  0.0005  0.0000  0.2453 [2 per cell]
Tl  0.5000  0.5000  0.5000 [1 per cell]
Hg  0.5000  0.5000  0.0000 [1 per cell]



4.
Computed PXRD pattern of Dy4Er5Cd for a wavelength of 1.5418 Å, from DFT lattice parameters and positions (GGA-PBE).

Main lines, in order of rising 2θ (15 to 90 degrees two-theta):
Position (°2θ), I_rel, (hkl)
31.42, 100, 1 1 0
31.57, 97, 0 1 5
36.36, 66, 1 0 5
36.87, 33, 0 2 0
52.75, 46, 1 2 5
62.26, 28, 2 1 5
62.53, 26, 1 1 10
63.08, 27, 1 3 0
65.58, 12, 2 2 0
88.78, 15, 2 2 10

Unit cell a=3.5070 b=4.8760 c=17.4104 alpha=90.00 beta=90.00 gamma=90.00
Space group Pmmm (No. 47)
Unique sites:
Dy  0.0000  0.0000  0.1019 [2 per cell]
Dy  0.0000  0.0000  0.3038 [2 per cell]
Er  0.5000  0.5000  0.0000 [1 per cell]
Er  0.5000  0.5000  0.2061 [2 per cell]
Er  0.5000  0.5000  0.4072 [2 per cell]
Cd  0.0000  0.0000  0.5000 [1 per cell]



5.
Computed PXRD pattern of Li3CePd6 for a wavelength of 1.5418 Å, from DFT lattice parameters and positions (GGA-PBE).

Main lines, in order of rising 2θ (15 to 90 degrees two-theta):
Position (°2θ), I_rel, (hkl)
26.15, 16, 2 0 1
28.59, 29, 0 1 2
29.47, 34, 1 1 -2
31.11, 29, 2 1 -1
36.24, 18, 0 1 3
39.64, 98, 1 1 3
39.96, 100, 3 1 -1
42.17, 92, 0 2 0
61.16, 27, 2 2 -4
75.59, 15, 3 3 -1

Unit cell a=8.0129 b=4.2859 c=9.2618 alpha=90.00 beta=100.12 gamma=90.00
Space group P2_1/m (No. 11)
Unique sites:
Li  0.0455  0.2500  0.3930 [2 per cell]
Li  0.1472  0.7500  0.1760 [2 per cell]
Li  0.2454  0.2500  0.9737 [2 per cell]
Ce  0.4338  0.2500  0.6255 [2 per cell]
Pd  0.0349  0.7500  0.8975 [2 per cell]
Pd  0.1127  0.2500  0.6922 [2 per cell]
Pd  0.2237  0.7500  0.4771 [2 per cell]
Pd  0.3239  0.2500  0.2752 [2 per cell]
Pd  0.3356  0.7500  0.7887 [2 per cell]
Pd  0.4389  0.7500  0.0857 [2 per cell]



6.
Computed PXRD pattern of AcPr6Y2Ho for a wavelength of 1.5418 Å, from DFT lattice parameters and positions (GGA-PBE).

Main lines, in order of rising 2θ (15 to 90 degrees two-theta):
Position (°2θ), I_rel, (hkl)
27.45, 100, 1 3 2
29.17, 66, 3 1 -1
29.68, 99, 2 2 2
29.89, 71, 0 2 3
30.39, 58, 1 5 0
30.60, 61, 2 4 -1
31.53, 28, 1 5 -1
33.26, 40, 1 3 -3
33.98, 31, 2 2 -3
36.05, 22, 0 6 1

Unit cell a=9.6313 b=15.4530 c=9.7663 alpha=90.00 beta=95.24 gamma=90.00
Space group C2/c (No. 15)
Unique sites:
Ac  0.0000  0.0348  0.2500 [4 per cell]
Pr  0.0629  0.1784  0.9433 [8 per cell]
Pr  0.0933  0.3860  0.1164 [8 per cell]
Pr  0.2249  0.2256  0.3169 [8 per cell]
Y  0.2417  0.4504  0.4488 [8 per cell]
Ho  0.0000  0.4124  0.7500 [4 per cell]



7.
Computed PXRD pattern of La4Ce3HoAs8 for a wavelength of 1.5418 Å, from DFT lattice parameters and positions (GGA-PBE).

Main lines, in order of rising 2θ (15 to 90 degrees two-theta):
Position (°2θ), I_rel, (hkl)
25.48, 16, 0 0 6
29.50, 100, 0 2 4
42.21, 75, 2 2 0
49.93, 6, 0 2 10
52.23, 7, 0 0 12
52.37, 20, 4 0 4
61.22, 12, 0 4 8
69.35, 17, 2 2 12
69.46, 17, 2 4 4
77.21, 19, 6 0 0

Unit cell a=8.5565 b=8.5565 c=21.0169 alpha=90.00 beta=90.00 gamma=120.00
Space group R-3m (No. 166, hexagonal axes)
Unique sites:
La  0.0000  0.0000  0.0000 [3 per cell]
La  0.0000  0.5000  0.0000 [9 per cell]
Ce  0.0000  0.5000  0.5000 [9 per cell]
Ho  0.0000  0.0000  0.5000 [3 per cell]
As  0.0000  0.0000  0.2465 [6 per cell]
As  0.0019  0.5009  0.2459 [18 per cell]



Which formula does entry 6 have? AcPr6Y2Ho



Number 2 is which compound? V3GeB